For NaVMoO6, a DFT-relaxed cell (GGA+U, Alexandria) gives the simulated powder XRD pattern in this record (Cu Kα (λ = 1.5418 Å)).
Intensities are scaled so that the largest is 100.

Cell and atoms:
```
NaVMoO6
1.0
4.809 -1.862 0.000
4.809 1.862 0.000
-2.764 0.000 6.852
Na V Mo O
1 1 1 6
Direct
0.000 0.000 0.000 Na
0.805 0.805 0.339 V
0.174 0.174 0.610 Mo
0.019 0.019 0.683 O
0.293 0.293 0.413 O
0.325 0.325 0.834 O
0.673 0.673 0.117 O
0.683 0.683 0.535 O
0.971 0.971 0.305 O
```

Main lines, sorted by position (5 to 70 degrees two-theta):
12.92°, intensity 100; 19.91°, intensity 34; 25.93°, intensity 41; 26.21°, intensity 45; 27.30°, intensity 68; 27.65°, intensity 43; 30.74°, intensity 23; 37.04°, intensity 20; 48.90°, intensity 21; 57.91°, intensity 18